Structure and calculated XRD peak list of KMnZnF6 (a structure optimized by DFT (PBE+U); Cu Kα, 1.54184 Å).

Largest 8 diffraction maxima, low angle first, 15 to 90 degrees two-theta:
2θ 15.6, I = 69; 2θ 24.7, I = 100; 2θ 33.4, I = 23; 2θ 37.0, I = 22; 2θ 46.4, I = 30; 2θ 46.5, I = 32; 2θ 59.6, I = 13; 2θ 59.7, I = 17

Structural model:
abc: 5.367 5.367 5.691
angles: 90.04 90.04 119.82
Positions (direct):
K (0.000, 0.000, 0.000)
Mn (0.333, 0.667, 0.500)
Zn (0.666, 0.334, 0.500)
F (0.017, 0.385, 0.691)
F (0.018, 0.635, 0.311)
F (0.365, 0.982, 0.689)
F (0.366, 0.388, 0.309)
F (0.612, 0.634, 0.691)
F (0.615, 0.983, 0.309)